No. 1
# Li8BiS6
Simulated powder X-ray diffraction pattern, Cu Kα. Input: a cell relaxed with PBE.
Intensities are scaled so that the largest is 100.

Atomic structure:
```
data_Li8BiS6
_space_group_name_H-M_alt 'R -3'
_space_group_IT_number 148
_space_group_name_Hall '-R 3'
_cell_length_a 6.9331
_cell_length_b 6.9331
_cell_length_c 19.2806
_cell_angle_alpha 90.00
_cell_angle_beta 90.00
_cell_angle_gamma 120.00
loop_
_atom_site_label
_atom_site_type_symbol
_atom_site_fract_x
_atom_site_fract_y
_atom_site_fract_z
Li1 Li 0.0000 0.0000 0.1543
Li2 Li 0.0038 0.6885 0.7119
Bi1 Bi 0.0000 0.0000 0.5000
S1 S 0.0019 0.6516 0.2495
```

Most intense lines, 2θ = 10–90°, by angle:
| 2theta | I (rel.) |
| --- | --- |
| 13.78 | 41 |
| 15.46 | 100 |
| 17.40 | 86 |
| 23.67 | 33 |
| 27.49 | 28 |
| 29.27 | 84 |
| 30.13 | 20 |
| 38.19 | 55 |
| 40.00 | 20 |
| 40.85 | 19 |
| 45.31 | 32 |
| 50.05 | 19 |


No. 2
# LiBiS2
Simulated powder X-ray diffraction pattern, Cu Kα. Input: a cell relaxed with PBE.
Intensities are scaled so that the largest is 100.

Atomic structure:
```
data_LiBiS2
_space_group_name_H-M_alt 'P 4/m m m'
_space_group_IT_number 123
_space_group_name_Hall '-P 4 2'
_cell_length_a 4.0043
_cell_length_b 4.0043
_cell_length_c 5.4470
_cell_angle_alpha 90.00
_cell_angle_beta 90.00
_cell_angle_gamma 90.00
loop_
_atom_site_label
_atom_site_type_symbol
_atom_site_fract_x
_atom_site_fract_y
_atom_site_fract_z
Li1 Li 0.0000 0.0000 0.0000
Bi1 Bi 0.5000 0.5000 0.5000
S1 S 0.0000 0.0000 0.5000
S2 S 0.5000 0.5000 0.0000
```

Most intense lines, 2θ = 10–90°, by angle:
| 2theta | I (rel.) |
| --- | --- |
| 16.27 | 100 |
| 22.20 | 99 |
| 27.65 | 59 |
| 31.60 | 81 |
| 32.89 | 36 |
| 35.74 | 61 |
| 40.04 | 45 |
| 45.29 | 29 |
| 46.25 | 55 |
| 48.44 | 26 |
| 57.10 | 30 |
| 62.02 | 26 |


No. 3
# Li5BiS4
Simulated powder X-ray diffraction pattern, Cu Kα. Input: a cell relaxed with PBE.
Intensities are scaled so that the largest is 100.

Atomic structure:
```
data_Li5BiS4
_space_group_name_H-M_alt 'C m c 21'
_space_group_IT_number 36
_cell_length_a 7.6535
_cell_length_b 12.5912
_cell_length_c 7.7932
_cell_angle_alpha 90.00
_cell_angle_beta 90.00
_cell_angle_gamma 90.00
loop_
_space_group_symop_operation_xyz
'x,y,z'
'-x,-y,z+1/2'
'-x,y,z'
'x,-y,z+1/2'
'x+1/2,y+1/2,z'
'-x+1/2,-y+1/2,z+1/2'
'-x+1/2,y+1/2,z'
'x+1/2,-y+1/2,z+1/2'
loop_
_atom_site_label
_atom_site_type_symbol
_atom_site_fract_x
_atom_site_fract_y
_atom_site_fract_z
Li1 Li 0.0000 0.1420 0.0000
Li2 Li 0.1792 0.0599 0.3949
Li3 Li 0.2086 0.3710 0.1827
Bi1 Bi 0.0000 0.3319 0.6144
S1 S 0.0000 0.0224 0.6687
S2 S 0.0000 0.4782 0.9858
S3 S 0.2464 0.2526 0.4277
```

Most intense lines, 2θ = 10–90°, by angle:
| 2theta | I (rel.) |
| --- | --- |
| 13.54 | 26 |
| 17.70 | 100 |
| 18.11 | 36 |
| 22.82 | 16 |
| 24.18 | 33 |
| 29.63 | 29 |
| 30.63 | 21 |
| 32.80 | 29 |
| 33.49 | 39 |
| 37.24 | 18 |
| 37.79 | 17 |
| 38.80 | 21 |


No. 4
# Li5BiS4
Simulated powder X-ray diffraction pattern, Cu Kα. Input: a cell relaxed with PBE.
Intensities are scaled so that the largest is 100.

Atomic structure:
```
data_Li5BiS4
_space_group_name_H-M_alt 'I m m m'
_space_group_IT_number 71
_space_group_name_Hall '-I 2 2'
_cell_length_a 3.9473
_cell_length_b 7.2307
_cell_length_c 13.5037
_cell_angle_alpha 90.00
_cell_angle_beta 90.00
_cell_angle_gamma 90.00
loop_
_atom_site_label
_atom_site_type_symbol
_atom_site_fract_x
_atom_site_fract_y
_atom_site_fract_z
Li1 Li 0.0000 0.0000 0.0000
Li2 Li 0.0000 0.2051 0.3198
Bi1 Bi 0.0000 0.5000 0.0000
S1 S 0.0000 0.2749 0.5000
S2 S 0.0000 0.5000 0.2137
```

Most intense lines, 2θ = 10–90°, by angle:
| 2theta | I (rel.) |
| --- | --- |
| 13.11 | 54 |
| 13.89 | 100 |
| 23.48 | 15 |
| 25.71 | 43 |
| 26.40 | 27 |
| 28.97 | 20 |
| 34.28 | 48 |
| 35.48 | 16 |
| 37.19 | 28 |
| 39.28 | 18 |
| 47.96 | 30 |
| 48.25 | 17 |


No. 5
# Li3BiS4
Simulated powder X-ray diffraction pattern, Cu Kα. Input: a cell relaxed with PBE.
Intensities are scaled so that the largest is 100.

Atomic structure:
```
data_Li3BiS4
_space_group_name_H-M_alt 'P n m a'
_space_group_IT_number 62
_cell_length_a 7.1417
_cell_length_b 10.1078
_cell_length_c 9.7738
_cell_angle_alpha 90.00
_cell_angle_beta 90.00
_cell_angle_gamma 90.00
loop_
_space_group_symop_operation_xyz
'x,y,z'
'-x,-y,-z'
'-x+1/2,-y,z+1/2'
'x+1/2,y,-z+1/2'
'x+1/2,-y+1/2,-z+1/2'
'-x+1/2,y+1/2,z+1/2'
'-x,y+1/2,-z'
'x,-y+1/2,z'
loop_
_atom_site_label
_atom_site_type_symbol
_atom_site_fract_x
_atom_site_fract_y
_atom_site_fract_z
Li1 Li 0.1915 0.2500 0.1083
Li2 Li 0.2277 0.5877 0.2842
Bi1 Bi 0.2483 0.2500 0.4817
S1 S 0.0058 0.7500 0.6948
S2 S 0.0377 0.2500 0.6988
S3 S 0.1426 0.0216 0.0165
```

Most intense lines, 2θ = 10–90°, by angle:
| 2theta | I (rel.) |
| --- | --- |
| 17.55 | 30 |
| 17.71 | 100 |
| 18.15 | 27 |
| 30.72 | 43 |
| 31.02 | 23 |
| 31.45 | 24 |
| 35.53 | 13 |
| 35.86 | 28 |
| 39.99 | 14 |
| 40.54 | 14 |
| 47.68 | 14 |
| 47.87 | 15 |


No. 6
# Li3SmBi2
Simulated powder X-ray diffraction pattern, Cu Kα. Input: a cell relaxed with PBE.
Intensities are scaled so that the largest is 100.

Atomic structure:
```
data_Li3SmBi2
_space_group_name_H-M_alt 'P -3 m 1'
_space_group_IT_number 164
_space_group_name_Hall '-P 3 2"'
_cell_length_a 4.6919
_cell_length_b 4.6919
_cell_length_c 7.4007
_cell_angle_alpha 90.00
_cell_angle_beta 90.00
_cell_angle_gamma 120.00
loop_
_atom_site_label
_atom_site_type_symbol
_atom_site_fract_x
_atom_site_fract_y
_atom_site_fract_z
Li1 Li 0.0000 0.0000 0.0000
Li2 Li 0.3333 0.6667 0.8494
Sm1 Sm 0.0000 0.0000 0.5000
Bi1 Bi 0.3333 0.6667 0.2491
```

Most intense lines, 2θ = 10–90°, by angle:
| 2theta | I (rel.) |
| --- | --- |
| 11.96 | 11 |
| 25.00 | 100 |
| 32.73 | 46 |
| 38.37 | 39 |
| 42.89 | 25 |
| 46.34 | 20 |
| 51.30 | 13 |
| 58.89 | 10 |
| 61.68 | 17 |
| 64.10 | 17 |
| 65.84 | 13 |
| 72.50 | 11 |


No. 7
# LiBiTe2
Simulated powder X-ray diffraction pattern, Cu Kα. Input: a cell relaxed with PBE.
Intensities are scaled so that the largest is 100.

Atomic structure:
```
data_LiBiTe2
_space_group_name_H-M_alt 'P 4/m m m'
_space_group_IT_number 123
_space_group_name_Hall '-P 4 2'
_cell_length_a 4.4382
_cell_length_b 4.4382
_cell_length_c 6.1961
_cell_angle_alpha 90.00
_cell_angle_beta 90.00
_cell_angle_gamma 90.00
loop_
_atom_site_label
_atom_site_type_symbol
_atom_site_fract_x
_atom_site_fract_y
_atom_site_fract_z
Li1 Li 0.0000 0.0000 0.0000
Bi1 Bi 0.5000 0.5000 0.5000
Te1 Te 0.0000 0.0000 0.5000
Te2 Te 0.5000 0.5000 0.0000
```

Most intense lines, 2θ = 10–90°, by angle:
| 2theta | I (rel.) |
| --- | --- |
| 14.29 | 46 |
| 20.01 | 44 |
| 28.44 | 100 |
| 28.82 | 48 |
| 31.97 | 28 |
| 35.33 | 22 |
| 40.66 | 39 |
| 40.93 | 76 |
| 50.60 | 41 |
| 66.64 | 18 |
| 66.83 | 18 |
| 74.17 | 27 |


No. 8
# Li3YBi2
Simulated powder X-ray diffraction pattern, Cu Kα. Input: a cell relaxed with PBE.
Intensities are scaled so that the largest is 100.

Atomic structure:
```
data_Li3YBi2
_space_group_name_H-M_alt 'P -3 m 1'
_space_group_IT_number 164
_space_group_name_Hall '-P 3 2"'
_cell_length_a 4.6790
_cell_length_b 4.6790
_cell_length_c 7.3087
_cell_angle_alpha 90.00
_cell_angle_beta 90.00
_cell_angle_gamma 120.00
loop_
_atom_site_label
_atom_site_type_symbol
_atom_site_fract_x
_atom_site_fract_y
_atom_site_fract_z
Li1 Li 0.0000 0.0000 0.0000
Li2 Li 0.3333 0.6667 0.8449
Y1 Y 0.0000 0.0000 0.5000
Bi1 Bi 0.3333 0.6667 0.2529
```

Most intense lines, 2θ = 10–90°, by angle:
| 2theta | I (rel.) |
| --- | --- |
| 24.36 | 14 |
| 25.13 | 100 |
| 33.01 | 36 |
| 38.48 | 35 |
| 43.34 | 26 |
| 46.07 | 16 |
| 46.51 | 20 |
| 51.58 | 10 |
| 59.32 | 10 |
| 61.90 | 17 |
| 64.74 | 14 |
| 72.96 | 11 |


No. 9
# LuBi
Simulated powder X-ray diffraction pattern, Cu Kα. Input: a cell relaxed with PBE.
Intensities are scaled so that the largest is 100.

Atomic structure:
```
data_LuBi
_space_group_name_H-M_alt 'F m -3 m'
_space_group_IT_number 225
_space_group_name_Hall '-F 4 2 3'
_cell_length_a 6.2388
_cell_length_b 6.2388
_cell_length_c 6.2388
_cell_angle_alpha 90.00
_cell_angle_beta 90.00
_cell_angle_gamma 90.00
loop_
_atom_site_label
_atom_site_type_symbol
_atom_site_fract_x
_atom_site_fract_y
_atom_site_fract_z
Lu1 Lu 0.0000 0.0000 0.0000
Bi1 Bi 0.0000 0.0000 0.5000
```

Most intense lines, 2θ = 10–90°, by angle:
| 2theta | I (rel.) |
| --- | --- |
| 24.72 | 1 |
| 28.62 | 100 |
| 40.91 | 78 |
| 48.39 | 1 |
| 50.69 | 28 |
| 59.24 | 13 |
| 67.09 | 37 |
| 74.51 | 28 |
| 88.69 | 9 |


No. 10
# LuBi3
Simulated powder X-ray diffraction pattern, Cu Kα. Input: a cell relaxed with PBE.
Intensities are scaled so that the largest is 100.

Atomic structure:
```
data_LuBi3
_space_group_name_H-M_alt 'P m -3 m'
_space_group_IT_number 221
_space_group_name_Hall '-P 4 2 3'
_cell_length_a 4.9404
_cell_length_b 4.9404
_cell_length_c 4.9404
_cell_angle_alpha 90.00
_cell_angle_beta 90.00
_cell_angle_gamma 90.00
loop_
_atom_site_label
_atom_site_type_symbol
_atom_site_fract_x
_atom_site_fract_y
_atom_site_fract_z
Lu1 Lu 0.0000 0.0000 0.0000
Bi1 Bi 0.0000 0.5000 0.5000
```

Most intense lines, 2θ = 10–90°, by angle:
| 2theta | I (rel.) |
| --- | --- |
| 31.36 | 100 |
| 36.37 | 51 |
| 52.38 | 37 |
| 62.33 | 44 |
| 65.44 | 13 |
| 77.24 | 6 |
| 85.71 | 19 |
| 88.51 | 18 |


No. 11
# LuBi3
Simulated powder X-ray diffraction pattern, Cu Kα. Input: a cell relaxed with PBE.
Intensities are scaled so that the largest is 100.

Atomic structure:
```
data_LuBi3
_space_group_name_H-M_alt 'P 63/m m c'
_space_group_IT_number 194
_space_group_name_Hall '-P 6c 2c'
_cell_length_a 6.8231
_cell_length_b 6.8231
_cell_length_c 5.9603
_cell_angle_alpha 90.00
_cell_angle_beta 90.00
_cell_angle_gamma 120.00
loop_
_atom_site_label
_atom_site_type_symbol
_atom_site_fract_x
_atom_site_fract_y
_atom_site_fract_z
Lu1 Lu 0.3333 0.6667 0.2500
Bi1 Bi 0.1729 0.3458 0.7500
```

Most intense lines, 2θ = 10–90°, by angle:
| 2theta | I (rel.) |
| --- | --- |
| 29.98 | 31 |
| 30.25 | 22 |
| 33.86 | 100 |
| 43.11 | 17 |
| 53.74 | 18 |
| 55.76 | 25 |
| 62.76 | 23 |
| 65.05 | 15 |
| 81.13 | 9 |
| 86.78 | 10 |
| 88.43 | 7 |
| 89.24 | 14 |